(1)
The following is a computed XRD peak list of Tb2YPb7. It was derived from a cell relaxed with PBE, using Cu Ka.
Peak positions follow from Bragg's law for the DFT cell and can differ from measured ones.

Largest 10 diffraction maxima, most intense first, 2θ = 10–90°:
2θ/deg  intensity  h k l
31.97  100.0  1 5 1
38.27  32.0  2 0 0
65.25  26.7  3 5 1
52.54  23.2  2 10 0
34.61  18.7  0 10 0
60.36  13.5  1 15 1
66.84  11.4  2 10 2
55.23  11.2  2 0 2
86.29  10.5  3 15 1
85.56  4.4  2 20 0

Crystal structure
Lattice parameters (Å, degrees): 4.701 25.920 4.708 90.00 90.00 90.00
Space group Cmmm (No. 65)
Asymmetric unit:
Tb 0.000 0.190 0.000 x4
Y 0.000 0.000 0.000 x2
Pb 0.000 0.098 0.500 x4
Pb 0.000 0.294 0.500 x4
Pb 0.000 0.403 0.000 x4
Pb 0.000 0.500 0.500 x2

---

(2)
The following is a computed XRD peak list of Cu2Ag3. It was derived from a cell relaxed with PBE, using Cu Ka.
Peak positions follow from Bragg's law for the DFT cell and can differ from measured ones.

Largest 10 diffraction maxima, most intense first, 2θ = 10–90°:
2θ/deg  intensity  h k l
39.00  100.0  3 1 1
45.61  60.5  7 1 -1
39.38  48.5  4 0 -2
39.98  41.7  10 0 0
46.01  28.9  6 0 2
66.37  19.2  1 1 -3
80.31  15.0  2 0 4
67.21  14.7  13 1 1
79.21  11.3  4 2 -2
65.53  10.1  0 2 0

Crystal structure
Lattice parameters (Å, degrees): 22.609 2.849 4.861 90.00 94.18 90.00
Space group Cm (No. 8)
Asymmetric unit:
Cu 0.000 0.000 0.000 x2
Cu 0.004 0.500 0.536 x2
Cu 0.094 0.000 0.719 x2
Cu 0.189 0.500 0.912 x2
Ag 0.092 0.500 0.207 x2
Ag 0.192 0.000 0.426 x2
Ag 0.293 0.000 0.112 x2
Ag 0.297 0.500 0.618 x2
Ag 0.404 0.000 0.820 x2
Ag 0.406 0.500 0.320 x2